# BaNiO3
Calculated powder diffractogram, Cu Kα. Input: DFT lattice parameters and positions (PBE+U).
Peak positions follow from Bragg's law for the DFT cell and can differ from measured ones.

Largest 10 diffraction maxima, in order of rising 2θ, 15 to 90 degrees two-theta:
| 2theta | I (rel.) | index |
| --- | --- | --- |
| 25.8 | 100 | 1 0 1 |
| 31.3 | 96 | 1 1 0 |
| 41.0 | 64 | 2 0 1 |
| 41.7 | 35 | 1 0 2 |
| 52.5 | 24 | 2 1 1 |
| 53.0 | 28 | 2 0 2 |
| 55.7 | 18 | 3 0 0 |
| 62.9 | 27 | 2 1 2 |
| 65.3 | 17 | 2 2 0 |
| 71.4 | 13 | 3 1 1 |

Unit cell a=5.7152 b=5.7152 c=4.8238 alpha=90.00 beta=90.00 gamma=120.00
Space group P6_3mc (No. 186)
Unique sites:
Ba1 0.3333 0.6667 0.0000
Ni1 0.0000 0.0000 0.2387
O1 0.1465 0.2930 0.4884